Entry 1:
Starting from a crystal structure in Alexandria, relaxed with GGA-PBE, the powder XRD pattern of Ag3PdCl8 was computed for Cu Kα.
Intensities are scaled so that the largest is 100.

The 10 most intense peaks (15 to 90 degrees two-theta), sorted by position:
| Position (°2θ) | d/Å | Rel. int. |
| --- | --- | --- |
| 25.9 | 3.443 | 30.1 |
| 26.5 | 3.361 | 73.4 |
| 31.3 | 2.856 | 54.6 |
| 33.1 | 2.703 | 100.0 |
| 35.2 | 2.550 | 18.8 |
| 41.9 | 2.157 | 18.7 |
| 44.3 | 2.045 | 27.9 |
| 45.5 | 1.994 | 34.3 |
| 47.0 | 1.934 | 28.4 |
| 47.1 | 1.930 | 21.3 |

abc: 13.3533 7.9338 7.3933
angles: 90.00 121.20 90.00
Space group C2/m (No. 12)
Inequivalent atoms, fractional coordinates:
Ag  0.0000  0.0000  0.0000 [2 per cell]
Ag  0.2500  0.2500  0.5000 [4 per cell]
Pd  0.0000  0.5000  0.0000 [2 per cell]
Cl  0.0012  0.2912  0.7753 [8 per cell]
Cl  0.2060  0.5000  0.1927 [4 per cell]
Cl  0.2190  0.0000  0.2630 [4 per cell]

Entry 2:
Starting from a crystal structure in Alexandria, relaxed with GGA-PBE, the powder XRD pattern of Ag2PdCl4 was computed for Cu Kα.
Intensities are scaled so that the largest is 100.

The 10 most intense peaks (15 to 90 degrees two-theta), sorted by position:
| Position (°2θ) | d/Å | Rel. int. |
| --- | --- | --- |
| 18.0 | 4.925 | 98.7 |
| 26.5 | 3.368 | 39.9 |
| 30.7 | 2.911 | 86.9 |
| 31.4 | 2.847 | 100.0 |
| 36.5 | 2.464 | 57.3 |
| 36.6 | 2.456 | 53.6 |
| 38.9 | 2.313 | 45.5 |
| 49.0 | 1.860 | 55.5 |
| 50.4 | 1.811 | 41.6 |
| 54.5 | 1.684 | 33.1 |

abc: 9.2505 9.8258 7.2291
angles: 90.00 90.00 90.00
Space group Fmm2 (No. 42)
Inequivalent atoms, fractional coordinates:
Ag  0.2500  0.2500  0.0000 [8 per cell]
Pd  0.0000  0.0000  0.2619 [4 per cell]
Cl  0.0000  0.2347  0.2262 [8 per cell]
Cl  0.2491  0.0000  0.2996 [8 per cell]

Entry 3:
Starting from a crystal structure in Alexandria, relaxed with GGA-PBE, the powder XRD pattern of Ag2PdCl6 was computed for Cu Kα.
Intensities are scaled so that the largest is 100.

The 10 most intense peaks (15 to 90 degrees two-theta), sorted by position:
| Position (°2θ) | d/Å | Rel. int. |
| --- | --- | --- |
| 16.5 | 5.388 | 100.0 |
| 25.5 | 3.497 | 84.8 |
| 27.8 | 3.204 | 23.2 |
| 31.5 | 2.844 | 47.4 |
| 39.7 | 2.272 | 34.9 |
| 40.5 | 2.226 | 64.0 |
| 43.9 | 2.064 | 18.1 |
| 46.3 | 1.960 | 21.6 |
| 47.8 | 1.904 | 27.4 |
| 49.1 | 1.855 | 18.1 |

abc: 6.6956 6.1890 12.8289
angles: 90.00 121.43 90.00
Space group P2_1/c (No. 14)
Inequivalent atoms, fractional coordinates:
Ag  0.1867  0.0012  0.1864 [4 per cell]
Pd  0.5000  0.0000  0.0000 [2 per cell]
Cl  0.1991  0.2204  0.8452 [4 per cell]
Cl  0.2062  0.7077  0.5007 [4 per cell]
Cl  0.4931  0.7242  0.3468 [4 per cell]